(1)
Structure and simulated powder XRD pattern of Mg2BePb (the PBE geometry in Alexandria; a wavelength of 1.5418 Å).

Structural model:
Cell lengths 4.921, 6.051, 6.879 Å; angles 109.78, 102.01, 107.73 degrees
Positions (direct):
Mg 0.080 0.327 0.115
Mg 0.195 0.297 0.617
Mg 0.805 0.703 0.383
Mg 0.920 0.673 0.885
Be 0.451 0.658 0.009
Be 0.549 0.342 0.991
Pb 0.462 0.889 0.704
Pb 0.538 0.111 0.296

Top 10 peaks for 2θ = 5–70°, sorted by position:
d (Å)  2θ (°)  intensity
5.203  17.04  100
4.395  20.20  91
4.340  20.46  75
3.312  26.92  88
3.038  29.40  96
2.882  31.03  36
2.811  31.83  74
2.507  35.81  46
2.406  37.37  37
2.144  42.16  31

***

(2)
Structure and simulated powder XRD pattern of Ho3Al9Pt2 (the PBE geometry in Alexandria; a wavelength of 1.5418 Å).

Structural model:
Cell lengths 8.204, 8.204, 8.204 Å; angles 149.98, 104.63, 83.20 degrees
Positions (direct):
Ho 0.000 0.000 0.000
Ho 0.310 0.310 0.000
Ho 0.690 0.690 0.000
Al 0.029 0.659 0.370
Al 0.154 0.872 0.282
Al 0.289 0.659 0.630
Al 0.410 0.128 0.282
Al 0.500 0.000 0.500
Al 0.590 0.872 0.718
Al 0.711 0.341 0.370
Al 0.846 0.128 0.718
Al 0.971 0.341 0.630
Pt 0.294 0.500 0.794
Pt 0.706 0.500 0.206

Top 10 peaks for 2θ = 5–70°, sorted by position:
d (Å)  2θ (°)  intensity
6.135  14.44  22
3.912  22.73  43
3.883  22.90  26
3.134  28.48  25
2.589  34.65  38
2.541  35.33  100
2.415  37.24  32
2.125  42.55  38
1.814  50.31  22
1.642  56.00  19

***

(3)
Structure and simulated powder XRD pattern of Cs2DyMnS4 (the PBE geometry in Alexandria; a wavelength of 1.5418 Å).

Structural model:
Cell lengths 14.707, 13.056, 8.133 Å; angles 84.50, 62.09, 33.40 degrees
Positions (direct):
Cs 0.056 0.056 0.694
Cs 0.306 0.306 0.944
Cs 0.694 0.694 0.056
Cs 0.944 0.944 0.306
Dy 0.125 0.125 0.125
Dy 0.875 0.875 0.875
Mn 0.375 0.375 0.375
Mn 0.625 0.625 0.625
S 0.016 0.647 0.537
S 0.299 0.537 0.647
S 0.353 0.984 0.701
S 0.463 0.701 0.984
S 0.537 0.299 0.016
S 0.647 0.016 0.299
S 0.701 0.463 0.353
S 0.984 0.353 0.463

Top 10 peaks for 2θ = 5–70°, sorted by position:
d (Å)  2θ (°)  intensity
6.330  13.99  57
5.716  15.50  40
3.883  22.90  39
3.834  23.20  32
3.741  23.78  37
3.676  24.21  100
3.104  28.76  68
2.934  30.47  56
2.544  35.27  39
2.104  42.99  42

***

(4)
Structure and simulated powder XRD pattern of Cs2AlBiS4 (the PBE geometry in Alexandria; a wavelength of 1.5418 Å).

Structural model:
Cell lengths 14.714, 13.174, 8.004 Å; angles 84.25, 62.98, 32.77 degrees
Positions (direct):
Cs 0.054 0.054 0.696
Cs 0.304 0.304 0.946
Cs 0.696 0.696 0.054
Cs 0.946 0.946 0.304
Al 0.375 0.375 0.375
Al 0.625 0.625 0.625
Bi 0.125 0.125 0.125
Bi 0.875 0.875 0.875
S 0.029 0.621 0.535
S 0.316 0.535 0.621
S 0.379 0.971 0.684
S 0.465 0.684 0.971
S 0.535 0.316 0.029
S 0.621 0.029 0.316
S 0.684 0.465 0.379
S 0.971 0.379 0.465

Top 10 peaks for 2θ = 5–70°, sorted by position:
d (Å)  2θ (°)  intensity
6.371  13.90  58
5.786  15.31  63
3.864  23.02  100
3.678  24.20  84
3.657  24.34  33
3.102  28.78  89
2.970  30.08  49
2.583  34.73  41
2.110  42.86  36
1.950  46.56  25

***

(5)
Structure and simulated powder XRD pattern of Cs2AcScO4 (the PBE geometry in Alexandria; a wavelength of 1.5418 Å).

Structural model:
Cell lengths 7.565, 7.565, 7.565 Å; angles 122.17, 117.01, 90.77 degrees
Positions (direct):
Cs 0.000 0.000 0.000
Cs 0.500 0.000 0.000
Cs 0.500 0.000 0.500
Cs 0.500 0.500 0.500
Ac 0.000 0.500 0.500
Ac 0.500 0.500 0.000
Sc 0.000 0.000 0.500
Sc 0.000 0.500 0.000
O 0.170 0.735 0.435
O 0.199 0.265 0.935
O 0.206 0.243 0.537
O 0.206 0.668 0.963
O 0.794 0.332 0.037
O 0.794 0.757 0.463
O 0.801 0.735 0.065
O 0.830 0.265 0.565

Top 10 peaks for 2θ = 5–70°, sorted by position:
d (Å)  2θ (°)  intensity
6.025  14.70  18
5.313  16.69  20
3.171  28.14  100
3.013  29.65  79
2.684  33.38  90
2.657  33.74  43
1.976  45.93  17
1.888  48.20  59
1.652  55.62  32
1.585  58.22  42

***

(6)
Structure and simulated powder XRD pattern of KP2OsO8 (the PBE geometry in Alexandria; a wavelength of 1.5418 Å).

Structural model:
Cell lengths 9.075, 9.075, 9.075 Å; angles 31.07, 31.07, 31.07 degrees
Positions (direct):
K 0.000 0.000 0.000
P 0.234 0.234 0.234
P 0.766 0.766 0.766
Os 0.500 0.500 0.500
O 0.106 0.752 0.507
O 0.248 0.493 0.894
O 0.292 0.292 0.292
O 0.493 0.894 0.248
O 0.507 0.106 0.752
O 0.708 0.708 0.708
O 0.752 0.507 0.106
O 0.894 0.248 0.493

Top 10 peaks for 2θ = 5–70°, sorted by position:
d (Å)  2θ (°)  intensity
8.630  10.25  100
4.156  21.38  31
4.004  22.20  19
3.529  25.23  91
2.779  32.21  13
2.566  34.97  22
2.431  36.98  25
2.118  42.69  17
2.002  45.30  13
1.545  59.85  14

***

(7)
Structure and simulated powder XRD pattern of Sm2TiS5 (the PBE geometry in Alexandria; a wavelength of 1.5418 Å).

Structural model:
Cell lengths 11.251, 7.874, 7.220 Å; angles 90.00, 90.00, 90.00 degrees
Positions (direct):
Sm 0.174 0.001 0.053
Sm 0.174 0.499 0.053
Sm 0.326 0.501 0.553
Sm 0.326 0.999 0.553
Sm 0.674 0.001 0.447
Sm 0.674 0.499 0.447
Sm 0.826 0.501 0.947
Sm 0.826 0.999 0.947
Ti 0.009 0.750 0.577
Ti 0.491 0.250 0.077
Ti 0.509 0.750 0.923
Ti 0.991 0.250 0.423
S 0.007 0.750 0.940
S 0.073 0.033 0.671
S 0.073 0.467 0.671
S 0.187 0.750 0.357
S 0.203 0.250 0.340
S 0.297 0.750 0.840
S 0.313 0.250 0.857
S 0.427 0.533 0.171
S 0.427 0.967 0.171
S 0.493 0.250 0.440
S 0.507 0.750 0.560
S 0.573 0.033 0.829
S 0.573 0.467 0.829
S 0.687 0.750 0.143
S 0.703 0.250 0.160
S 0.797 0.750 0.660
S 0.813 0.250 0.643
S 0.927 0.533 0.329
S 0.927 0.967 0.329
S 0.993 0.250 0.060

Top 10 peaks for 2θ = 5–70°, sorted by position:
d (Å)  2θ (°)  intensity
3.937  22.58  36
3.610  24.66  35
3.328  26.79  75
3.304  26.98  35
2.589  34.64  66
2.542  35.31  100
2.405  37.39  45
1.969  46.11  29
1.886  48.26  28
1.694  54.14  27

***

(8)
Structure and simulated powder XRD pattern of Cs2PrGa2O6 (the PBE geometry in Alexandria; a wavelength of 1.5418 Å).

Structural model:
Cell lengths 7.622, 7.622, 7.622 Å; angles 49.26, 49.26, 49.26 degrees
Positions (direct):
Cs 0.207 0.207 0.207
Cs 0.793 0.793 0.793
Pr 0.000 0.000 0.000
Ga 0.406 0.406 0.406
Ga 0.594 0.594 0.594
O 0.245 0.245 0.733
O 0.245 0.733 0.245
O 0.267 0.755 0.755
O 0.733 0.245 0.245
O 0.755 0.267 0.755
O 0.755 0.755 0.267

Top 10 peaks for 2θ = 5–70°, sorted by position:
d (Å)  2θ (°)  intensity
3.240  27.53  100
3.177  28.09  82
2.412  37.29  10
2.268  39.74  32
1.883  48.32  20
1.846  49.37  38
1.834  49.71  17
1.588  58.07  16
1.443  64.57  16
1.426  65.44  17